Structure and calculated XRD peak list of Zn4P3H7N2O12 (a crystal structure in OQMD, relaxed with GGA-PBE; Cu Ka).
Intensities are scaled so that the largest is 100.

```
56
Lattice="5.1812 0.0000 0.0000 2.5760 7.4384 0.0000 0.6172 1.4888 15.4624" Properties=species:S:1:pos:R:3 pbc="T T T"
Zn 1.0812 2.9105 2.0039
Zn 1.2781 0.9847 9.4683
Zn 3.5541 5.1893 9.4800
Zn 4.7721 7.6129 14.9560
Zn 3.6023 1.3143 0.5064
Zn 4.8203 3.7378 5.9823
Zn 7.0963 7.9425 5.9941
Zn 7.2932 6.0166 13.4584
P 1.8237 3.1759 14.3984
P 4.4884 6.6041 6.8979
P 4.6399 6.7256 12.0055
P 3.7345 2.2015 3.4568
P 3.8860 2.3231 8.5645
P 6.5507 5.7513 1.0640
H 2.0748 4.4375 6.1503
H 1.8990 3.1269 5.1332
H 1.8620 2.9184 6.7783
H 3.2638 6.5151 2.7952
H 3.9220 7.0798 4.2681
H 4.1280 5.4486 3.7463
H 4.8872 6.7277 2.9088
H 3.4872 2.1994 12.5536
H 4.2464 3.4785 11.7161
H 4.4524 1.8473 11.1943
H 5.1106 2.4121 12.6672
H 6.5124 6.0087 8.6841
H 6.4754 5.8002 10.3292
H 6.2996 4.4896 9.3121
N 1.5769 3.5459 6.0155
N 4.0496 6.4438 3.4604
N 4.3248 2.4834 12.0020
N 6.7974 5.3813 9.4468
O 2.0587 4.1135 13.2121
O 2.8671 6.0429 0.9039
O 1.8366 2.2755 0.2624
O 3.8766 7.7917 6.1256
O 4.0616 7.9805 11.3362
O 2.3640 2.4307 8.8067
O 2.2055 2.0440 3.3163
O 3.9931 6.6012 13.4456
O 4.2479 6.7729 8.4414
O 2.6258 1.8773 14.1128
O 3.7921 5.2931 6.4773
O 4.2799 5.4103 11.2847
O 4.0945 3.5169 4.1777
O 4.5823 3.6341 8.9851
O 5.7486 7.0499 1.3496
O 4.1265 2.1543 7.0210
O 4.3813 2.3260 2.0168
O 6.1689 6.8831 12.1461
O 6.0104 6.4964 6.6557
O 4.3128 0.9467 4.1262
O 4.4978 1.1354 9.3368
O 6.5378 6.6516 15.2000
O 5.5073 2.8843 14.5584
O 6.3157 4.8137 2.2503
```

The 10 most intense peaks (2θ from 10° to 80°), by angle:
11.45°, 7.731 Å, intensity 83
12.75°, 6.942 Å, intensity 51
18.99°, 4.674 Å, intensity 66
19.46°, 4.562 Å, intensity 60
25.15°, 3.541 Å, intensity 53
25.27°, 3.524 Å, intensity 100
29.53°, 3.025 Å, intensity 34
31.84°, 2.811 Å, intensity 43
34.65°, 2.589 Å, intensity 54
34.97°, 2.566 Å, intensity 48